1.
For KPa4S8, a GGA-PBE-relaxed structure gives the simulated powder X-ray diffraction pattern in this record (Cu Ka).
Peak positions follow from Bragg's law for the DFT cell and can differ from measured ones.

Most intense lines, 10° ≤ 2θ ≤ 80°, sorted by position:
11.13 deg, d = 7.951 Å, rel. 100; 22.36 deg, d = 3.976 Å, rel. 12; 25.52 deg, d = 3.490 Å, rel. 31; 27.84 deg, d = 3.205 Å, rel. 22; 27.96 deg, d = 3.191 Å, rel. 27; 34.04 deg, d = 2.633 Å, rel. 22; 34.27 deg, d = 2.616 Å, rel. 21; 42.69 deg, d = 2.118 Å, rel. 12; 45.02 deg, d = 2.014 Å, rel. 10; 46.42 deg, d = 1.956 Å, rel. 12

Structural model:
abc: 8.055 8.055 10.516
angles: 124.50 124.50 60.12
Element x y z (fractional)
K  0.000  0.000  0.000
Pa  0.250  0.750  0.500
Pa  0.259  0.259  0.519
Pa  0.741  0.741  0.481
Pa  0.750  0.250  0.500
S  0.000  0.000  0.323
S  0.000  0.000  0.677
S  0.004  0.480  0.317
S  0.480  0.004  0.317
S  0.488  0.488  0.315
S  0.512  0.512  0.685
S  0.520  0.996  0.683
S  0.996  0.520  0.683



2.
For Ca2BiPPt6, a GGA-PBE-relaxed structure gives the simulated powder X-ray diffraction pattern in this record (Cu Ka).
Peak positions follow from Bragg's law for the DFT cell and can differ from measured ones.

Most intense lines, 10° ≤ 2θ ≤ 80°, sorted by position:
10.09 deg, d = 8.766 Å, rel. 81; 18.73 deg, d = 4.736 Å, rel. 88; 20.72 deg, d = 4.286 Å, rel. 68; 33.29 deg, d = 2.692 Å, rel. 75; 37.99 deg, d = 2.368 Å, rel. 74; 38.26 deg, d = 2.353 Å, rel. 100; 40.66 deg, d = 2.219 Å, rel. 53; 42.16 deg, d = 2.143 Å, rel. 83; 43.67 deg, d = 2.073 Å, rel. 100; 46.51 deg, d = 1.952 Å, rel. 61

Structural model:
abc: 5.629 8.573 8.766
angles: 90.00 90.00 90.00
Element x y z (fractional)
Ca  0.250  0.001  0.243
Ca  0.250  0.499  0.243
Ca  0.750  0.501  0.757
Ca  0.750  0.999  0.757
Bi  0.250  0.250  0.801
Bi  0.750  0.750  0.199
P  0.250  0.750  0.728
P  0.750  0.250  0.272
Pt  0.002  0.250  0.504
Pt  0.005  0.750  0.937
Pt  0.250  0.503  0.608
Pt  0.250  0.997  0.608
Pt  0.495  0.750  0.937
Pt  0.498  0.250  0.504
Pt  0.502  0.750  0.496
Pt  0.505  0.250  0.063
Pt  0.750  0.003  0.392
Pt  0.750  0.497  0.392
Pt  0.995  0.250  0.063
Pt  0.998  0.750  0.496



3.
For La10Ge4N3, a GGA-PBE-relaxed structure gives the simulated powder X-ray diffraction pattern in this record (Cu Ka).
Peak positions follow from Bragg's law for the DFT cell and can differ from measured ones.

Most intense lines, 10° ≤ 2θ ≤ 80°, sorted by position:
29.37 deg, d = 3.041 Å, rel. 69; 32.29 deg, d = 2.772 Å, rel. 100; 35.20 deg, d = 2.549 Å, rel. 31; 35.89 deg, d = 2.502 Å, rel. 73; 51.15 deg, d = 1.786 Å, rel. 42; 51.66 deg, d = 1.769 Å, rel. 25; 60.54 deg, d = 1.529 Å, rel. 18; 62.25 deg, d = 1.491 Å, rel. 30; 63.03 deg, d = 1.475 Å, rel. 15; 64.06 deg, d = 1.454 Å, rel. 21

Structural model:
abc: 18.193 18.193 18.193
angles: 164.19 164.19 22.43
Element x y z (fractional)
La  0.000  0.500  0.500
La  0.070  0.070  0.000
La  0.140  0.640  0.500
La  0.215  0.215  0.000
La  0.360  0.860  0.500
La  0.500  0.000  0.500
La  0.640  0.140  0.500
La  0.785  0.785  0.000
La  0.860  0.360  0.500
La  0.930  0.930  0.000
Ge  0.303  0.303  0.000
Ge  0.431  0.431  0.000
Ge  0.569  0.569  0.000
Ge  0.697  0.697  0.000
N  0.000  0.000  0.000
N  0.146  0.146  0.000
N  0.854  0.854  0.000



4.
For Rb2Na3InO4, a GGA-PBE-relaxed structure gives the simulated powder X-ray diffraction pattern in this record (Cu Ka).
Peak positions follow from Bragg's law for the DFT cell and can differ from measured ones.

Most intense lines, 10° ≤ 2θ ≤ 80°, sorted by position:
14.76 deg, d = 6.001 Å, rel. 25; 20.09 deg, d = 4.421 Å, rel. 23; 28.81 deg, d = 3.099 Å, rel. 21; 29.77 deg, d = 3.001 Å, rel. 50; 29.91 deg, d = 2.987 Å, rel. 100; 30.93 deg, d = 2.891 Å, rel. 59; 36.73 deg, d = 2.447 Å, rel. 31; 40.67 deg, d = 2.218 Å, rel. 37; 45.91 deg, d = 1.977 Å, rel. 23; 48.26 deg, d = 1.886 Å, rel. 24

Structural model:
abc: 9.786 9.910 7.543
angles: 90.00 90.00 90.00
Element x y z (fractional)
Rb  0.000  0.000  0.245
Rb  0.000  0.000  0.755
Rb  0.231  0.243  0.500
Rb  0.269  0.743  0.000
Rb  0.500  0.500  0.255
Rb  0.500  0.500  0.745
Rb  0.731  0.257  0.000
Rb  0.769  0.757  0.500
Na  0.018  0.647  0.247
Na  0.018  0.647  0.753
Na  0.234  0.582  0.500
Na  0.266  0.082  0.000
Na  0.482  0.147  0.253
Na  0.482  0.147  0.747
Na  0.518  0.853  0.253
Na  0.518  0.853  0.747
Na  0.734  0.918  0.000
Na  0.766  0.418  0.500
Na  0.982  0.353  0.247
Na  0.982  0.353  0.753
In  0.224  0.373  0.000
In  0.276  0.873  0.500
In  0.724  0.127  0.500
In  0.776  0.627  0.000
O  0.065  0.225  0.000
O  0.082  0.775  0.500
O  0.193  0.482  0.235
O  0.193  0.482  0.765
O  0.307  0.982  0.265
O  0.307  0.982  0.735
O  0.418  0.275  0.000
O  0.435  0.725  0.500
O  0.565  0.275  0.500
O  0.582  0.725  0.000
O  0.693  0.018  0.265
O  0.693  0.018  0.735
O  0.807  0.518  0.235
O  0.807  0.518  0.765
O  0.918  0.225  0.500
O  0.935  0.775  0.000



5.
For Rb2HfHg2I6, a GGA-PBE-relaxed structure gives the simulated powder X-ray diffraction pattern in this record (Cu Ka).
Peak positions follow from Bragg's law for the DFT cell and can differ from measured ones.

Most intense lines, 10° ≤ 2θ ≤ 80°, sorted by position:
12.35 deg, d = 7.167 Å, rel. 50; 15.29 deg, d = 5.795 Å, rel. 41; 23.48 deg, d = 3.789 Å, rel. 65; 24.69 deg, d = 3.605 Å, rel. 100; 30.83 deg, d = 2.900 Å, rel. 25; 31.10 deg, d = 2.876 Å, rel. 22; 32.00 deg, d = 2.797 Å, rel. 18; 33.31 deg, d = 2.690 Å, rel. 28; 35.35 deg, d = 2.539 Å, rel. 27; 35.77 deg, d = 2.510 Å, rel. 17

Structural model:
abc: 8.925 8.925 9.449
angles: 101.08 101.08 121.11
Element x y z (fractional)
Rb  0.169  0.831  0.000
Rb  0.831  0.169  0.000
Hf  0.500  0.500  0.000
Hg  0.305  0.695  0.500
Hg  0.695  0.305  0.500
I  0.158  0.417  0.805
I  0.314  0.314  0.191
I  0.417  0.158  0.805
I  0.583  0.842  0.195
I  0.686  0.686  0.809
I  0.842  0.583  0.195



6.
For ZnP3H12NO13, a GGA-PBE-relaxed structure gives the simulated powder X-ray diffraction pattern in this record (Cu Ka).
Peak positions follow from Bragg's law for the DFT cell and can differ from measured ones.

Most intense lines, 10° ≤ 2θ ≤ 80°, sorted by position:
12.46 deg, d = 7.103 Å, rel. 62; 14.19 deg, d = 6.242 Å, rel. 100; 14.39 deg, d = 6.155 Å, rel. 76; 16.04 deg, d = 5.524 Å, rel. 70; 16.65 deg, d = 5.325 Å, rel. 46; 19.18 deg, d = 4.628 Å, rel. 47; 26.67 deg, d = 3.343 Å, rel. 83; 27.04 deg, d = 3.298 Å, rel. 53; 28.65 deg, d = 3.115 Å, rel. 95; 28.90 deg, d = 3.089 Å, rel. 40

Structural model:
abc: 7.501 8.683 10.474
angles: 71.86 76.07 70.40
Element x y z (fractional)
Zn  0.000  0.000  0.000
Zn  0.500  0.500  0.500
P  0.074  0.519  0.753
P  0.134  0.128  0.226
P  0.294  0.234  0.934
P  0.706  0.766  0.066
P  0.866  0.872  0.774
P  0.926  0.481  0.247
H  0.022  0.179  0.643
H  0.174  0.167  0.495
H  0.187  0.290  0.592
H  0.189  0.673  0.066
H  0.252  0.075  0.647
H  0.269  0.545  0.309
H  0.332  0.782  0.042
H  0.348  0.821  0.811
H  0.369  0.844  0.440
H  0.408  0.665  0.256
H  0.424  0.782  0.590
H  0.473  0.119  0.284
H  0.527  0.881  0.716
H  0.576  0.218  0.410
H  0.592  0.335  0.744
H  0.631  0.156  0.560
H  0.652  0.179  0.189
H  0.668  0.218  0.958
H  0.731  0.455  0.691
H  0.748  0.925  0.353
H  0.811  0.327  0.934
H  0.813  0.710  0.408
H  0.826  0.833  0.505
H  0.978  0.821  0.357
N  0.157  0.181  0.592
N  0.843  0.819  0.408
O  0.048  0.713  0.749
O  0.059  0.008  0.193
O  0.116  0.516  0.221
O  0.176  0.431  0.889
O  0.200  0.128  0.899
O  0.216  0.476  0.631
O  0.229  0.772  0.002
O  0.245  0.068  0.344
O  0.270  0.211  0.096
O  0.348  0.595  0.339
O  0.402  0.867  0.716
O  0.452  0.752  0.501
O  0.497  0.787  0.118
O  0.503  0.213  0.882
O  0.548  0.248  0.499
O  0.598  0.133  0.284
O  0.652  0.405  0.661
O  0.730  0.789  0.904
O  0.755  0.932  0.656
O  0.771  0.228  0.998
O  0.784  0.524  0.369
O  0.800  0.872  0.101
O  0.824  0.569  0.111
O  0.884  0.484  0.779
O  0.941  0.992  0.807
O  0.952  0.287  0.251



7.
For TlHg3Pd3, a GGA-PBE-relaxed structure gives the simulated powder X-ray diffraction pattern in this record (Cu Ka).
Peak positions follow from Bragg's law for the DFT cell and can differ from measured ones.

Most intense lines, 10° ≤ 2θ ≤ 80°, sorted by position:
19.02 deg, d = 4.666 Å, rel. 6; 27.02 deg, d = 3.300 Å, rel. 22; 33.26 deg, d = 2.694 Å, rel. 3; 38.59 deg, d = 2.333 Å, rel. 100; 43.36 deg, d = 2.087 Å, rel. 1; 47.74 deg, d = 1.905 Å, rel. 7; 51.84 deg, d = 1.764 Å, rel. 2; 55.72 deg, d = 1.650 Å, rel. 17; 62.99 deg, d = 1.476 Å, rel. 9; 69.82 deg, d = 1.347 Å, rel. 35

Structural model:
abc: 5.714 5.714 5.714
angles: 109.46 109.46 109.46
Element x y z (fractional)
Tl  0.000  0.000  0.000
Hg  0.001  0.501  0.501
Hg  0.501  0.001  0.501
Hg  0.501  0.501  0.001
Pd  0.001  0.001  0.501
Pd  0.001  0.501  0.001
Pd  0.501  0.001  0.001



8.
For La4GeSb2Te, a GGA-PBE-relaxed structure gives the simulated powder X-ray diffraction pattern in this record (Cu Ka).
Peak positions follow from Bragg's law for the DFT cell and can differ from measured ones.

Most intense lines, 10° ≤ 2θ ≤ 80°, sorted by position:
27.59 deg, d = 3.233 Å, rel. 100; 39.36 deg, d = 2.289 Å, rel. 38; 39.47 deg, d = 2.283 Å, rel. 38; 48.64 deg, d = 1.872 Å, rel. 7; 48.84 deg, d = 1.865 Å, rel. 21; 56.97 deg, d = 1.617 Å, rel. 13; 64.33 deg, d = 1.448 Å, rel. 11; 64.46 deg, d = 1.446 Å, rel. 11; 64.54 deg, d = 1.444 Å, rel. 12; 71.57 deg, d = 1.318 Å, rel. 15

Structural model:
abc: 7.911 4.565 7.932
angles: 90.00 109.28 90.00
Element x y z (fractional)
La  0.241  0.000  0.238
La  0.248  0.500  0.762
La  0.752  0.500  0.238
La  0.759  0.000  0.762
Ge  0.000  0.500  0.000
Sb  0.500  0.000  0.000
Sb  0.500  0.500  0.500
Te  0.000  0.000  0.500



9.
For Nd3Dy3Tl, a GGA-PBE-relaxed structure gives the simulated powder X-ray diffraction pattern in this record (Cu Ka).
Peak positions follow from Bragg's law for the DFT cell and can differ from measured ones.

Most intense lines, 10° ≤ 2θ ≤ 80°, sorted by position:
28.56 deg, d = 3.126 Å, rel. 24; 31.77 deg, d = 2.816 Å, rel. 24; 32.77 deg, d = 2.733 Å, rel. 100; 43.24 deg, d = 2.092 Å, rel. 15; 50.58 deg, d = 1.805 Å, rel. 19; 57.24 deg, d = 1.609 Å, rel. 21; 60.97 deg, d = 1.520 Å, rel. 21; 61.58 deg, d = 1.506 Å, rel. 15; 68.68 deg, d = 1.367 Å, rel. 4; 79.85 deg, d = 1.201 Å, rel. 7

Structural model:
abc: 9.547 5.632 9.550
angles: 90.00 119.97 90.00
Element x y z (fractional)
Nd  0.025  0.250  0.393
Nd  0.132  0.750  0.026
Nd  0.393  0.750  0.868
Nd  0.607  0.250  0.132
Nd  0.868  0.250  0.974
Nd  0.975  0.750  0.607
Dy  0.264  0.750  0.441
Dy  0.323  0.250  0.264
Dy  0.440  0.250  0.677
Dy  0.560  0.750  0.323
Dy  0.677  0.750  0.736
Dy  0.736  0.250  0.559
Tl  0.167  0.250  0.833
Tl  0.833  0.750  0.167



10.
For HoPuZnTc, a GGA-PBE-relaxed structure gives the simulated powder X-ray diffraction pattern in this record (Cu Ka).
Peak positions follow from Bragg's law for the DFT cell and can differ from measured ones.

Most intense lines, 10° ≤ 2θ ≤ 80°, sorted by position:
22.23 deg, d = 3.999 Å, rel. 4; 25.73 deg, d = 3.463 Å, rel. 19; 36.70 deg, d = 2.449 Å, rel. 100; 43.33 deg, d = 2.088 Å, rel. 2; 45.36 deg, d = 1.999 Å, rel. 6; 52.88 deg, d = 1.731 Å, rel. 18; 58.05 deg, d = 1.589 Å, rel. 1; 59.71 deg, d = 1.549 Å, rel. 8; 66.09 deg, d = 1.414 Å, rel. 36; 78.05 deg, d = 1.224 Å, rel. 11

Structural model:
abc: 6.926 6.926 6.926
angles: 90.00 90.00 90.00
Element x y z (fractional)
Ho  0.000  0.000  0.000
Ho  0.000  0.500  0.500
Ho  0.500  0.000  0.500
Ho  0.500  0.500  0.000
Pu  0.000  0.000  0.500
Pu  0.000  0.500  0.000
Pu  0.500  0.000  0.000
Pu  0.500  0.500  0.500
Zn  0.250  0.250  0.750
Zn  0.250  0.750  0.250
Zn  0.750  0.250  0.250
Zn  0.750  0.750  0.750
Tc  0.250  0.250  0.250
Tc  0.250  0.750  0.750
Tc  0.750  0.250  0.750
Tc  0.750  0.750  0.250